Starting from the GGA+U geometry in Alexandria, the powder X-ray diffraction pattern of Cs3Mo4P3O16 was calculated for Cu Kα, 1.54184 Å.
Peak positions follow from Bragg's law for the DFT cell and can differ from measured ones.

Structure:
Cell: 7.8658 7.8658 7.8658 Å, 90.00 90.00 90.00°
Fractional coordinates of all 26 atoms:
Cs (0.0000, 0.0000, 0.5000)
Cs (0.0000, 0.5000, 0.0000)
Cs (0.5000, 0.0000, 0.0000)
Mo (0.3819, 0.3819, 0.3819)
Mo (0.3819, 0.6181, 0.6181)
Mo (0.6181, 0.3819, 0.6181)
Mo (0.6181, 0.6181, 0.3819)
P (0.0000, 0.5000, 0.5000)
P (0.5000, 0.0000, 0.5000)
P (0.5000, 0.5000, 0.0000)
O (0.1108, 0.3835, 0.3835)
O (0.1108, 0.6165, 0.6165)
O (0.3570, 0.3570, 0.6430)
O (0.3570, 0.6430, 0.3570)
O (0.3835, 0.1108, 0.3835)
O (0.3835, 0.3835, 0.1108)
O (0.3835, 0.6165, 0.8892)
O (0.3835, 0.8892, 0.6165)
O (0.6165, 0.1108, 0.6165)
O (0.6165, 0.3835, 0.8892)
O (0.6165, 0.6165, 0.1108)
O (0.6165, 0.8892, 0.3835)
O (0.6430, 0.3570, 0.3570)
O (0.6430, 0.6430, 0.6430)
O (0.8892, 0.3835, 0.6165)
O (0.8892, 0.6165, 0.3835)

Main lines, low angle first (10° ≤ 2θ ≤ 80°):
(hkl)  d [Å]  2θ (°)  Rel. int.
1 0 0  7.866  11.25  100
1 1 1  4.541  19.55  69
2 0 0  3.933  22.61  65
2 2 0  2.781  32.19  45
3 1 0  2.487  36.11  33
4 1 0  1.908  47.67  34